Record 1
Calculated X-ray powder pattern of Sm2TeO6 for Cu Ka, from a structure optimized by DFT (PBE).
No peak broadening, texture or thermal motion is included.

Largest 12 diffraction maxima, low angle first, 2θ from 10° to 90°:
d [Å]	intensity
3.535	47
3.451	85
3.340	100
3.196	30
2.974	31
2.753	58
2.710	35
2.655	26
2.451	23
2.003	30
1.896	23
1.738	30

Crystal structure
abc: 5.4202 9.3263 10.2055
angles: 90.00 90.00 90.00
Atoms (fractional coordinates):
Sm (0.0226, 0.1036, 0.4604)
Sm (0.0364, 0.2170, 0.8637)
Sm (0.4636, 0.7830, 0.3637)
Sm (0.4774, 0.8964, 0.9604)
Sm (0.5226, 0.3964, 0.5396)
Sm (0.5364, 0.2830, 0.1363)
Sm (0.9636, 0.7170, 0.6363)
Sm (0.9774, 0.6036, 0.0396)
Te (0.0401, 0.4954, 0.3544)
Te (0.4599, 0.5046, 0.8544)
Te (0.5401, 0.0046, 0.6456)
Te (0.9599, 0.9954, 0.1456)
O (0.0784, 0.8477, 0.0263)
O (0.1675, 0.9481, 0.2924)
O (0.1824, 0.6388, 0.2409)
O (0.1873, 0.6389, 0.8227)
O (0.2261, 0.1128, 0.0663)
O (0.2458, 0.5860, 0.4926)
O (0.2542, 0.4140, 0.9926)
O (0.2739, 0.8872, 0.5663)
O (0.3127, 0.3611, 0.3227)
O (0.3176, 0.3612, 0.7409)
O (0.3325, 0.0519, 0.7924)
O (0.4216, 0.1523, 0.5263)
O (0.5784, 0.6523, 0.9737)
O (0.6675, 0.5519, 0.7076)
O (0.6824, 0.8612, 0.7591)
O (0.6873, 0.8611, 0.1773)
O (0.7261, 0.3872, 0.9337)
O (0.7458, 0.9140, 0.5074)
O (0.7542, 0.0860, 0.0074)
O (0.7739, 0.6128, 0.4337)
O (0.8127, 0.1389, 0.6773)
O (0.8176, 0.1388, 0.2591)
O (0.8325, 0.4481, 0.2076)
O (0.9216, 0.3477, 0.4737)

=====

Record 2
Calculated X-ray powder pattern of SmTl2TeO8 for Cu Ka, from a structure optimized by DFT (PBE).
No peak broadening, texture or thermal motion is included.

Largest 12 diffraction maxima, low angle first, 2θ from 10° to 90°:
d [Å]	intensity
3.594	56
3.555	53
2.868	100
2.527	30
1.902	39
1.890	37
1.777	9
1.567	10
1.518	11
1.515	11
1.434	12
1.306	9

Crystal structure
abc: 5.0487 6.9655 5.0606
angles: 90.00 90.62 90.00
Atoms (fractional coordinates):
Sm (0.0000, 0.0000, 0.0000)
Tl (0.5000, 0.2573, 0.5000)
Tl (0.5000, 0.7427, 0.5000)
Te (0.0000, 0.5000, 0.0000)
O (0.1778, 0.2896, 0.8196)
O (0.1778, 0.7104, 0.8196)
O (0.2816, 0.5000, 0.2779)
O (0.3164, 0.0000, 0.3114)
O (0.6836, 0.0000, 0.6886)
O (0.7184, 0.5000, 0.7221)
O (0.8222, 0.2896, 0.1804)
O (0.8222, 0.7104, 0.1804)

=====

Record 3
Calculated X-ray powder pattern of SmTl3Te2O9 for Cu Ka, from a structure optimized by DFT (PBE).
No peak broadening, texture or thermal motion is included.

Largest 12 diffraction maxima, low angle first, 2θ from 10° to 90°:
d [Å]	intensity
3.003	100
2.979	97
2.115	54
1.739	21
1.725	40
1.720	20
1.502	17
1.490	17
1.341	18
1.334	18
1.138	11
1.127	11

Crystal structure
abc: 5.9582 5.9582 7.3866
angles: 90.00 90.00 120.00
Atoms (fractional coordinates):
Sm (0.0000, 0.0000, 0.0000)
Tl (0.0000, 0.0000, 0.5000)
Tl (0.3333, 0.6667, 0.1706)
Tl (0.6667, 0.3333, 0.8294)
Te (0.3333, 0.6667, 0.6649)
Te (0.6667, 0.3333, 0.3351)
O (0.0000, 0.5000, 0.5000)
O (0.1783, 0.3567, 0.8084)
O (0.1783, 0.8217, 0.8084)
O (0.3567, 0.1783, 0.1916)
O (0.5000, 0.0000, 0.5000)
O (0.5000, 0.5000, 0.5000)
O (0.6433, 0.8217, 0.8084)
O (0.8217, 0.1783, 0.1916)
O (0.8217, 0.6433, 0.1916)

=====

Record 4
Calculated X-ray powder pattern of SmTm2TeO8 for Cu Ka, from a structure optimized by DFT (PBE).
No peak broadening, texture or thermal motion is included.

Largest 12 diffraction maxima, low angle first, 2θ from 10° to 90°:
d [Å]	intensity
3.536	56
3.495	53
2.845	100
2.486	29
1.878	39
1.866	37
1.748	9
1.567	9
1.557	10
1.554	9
1.495	21
1.422	11

Crystal structure
abc: 4.9721 4.9721 6.9373
angles: 90.00 90.00 90.67
Atoms (fractional coordinates):
Sm (0.0000, 0.0000, 0.0000)
Tm (0.5000, 0.5000, 0.2592)
Tm (0.5000, 0.5000, 0.7408)
Te (0.0000, 0.0000, 0.5000)
O (0.1856, 0.8144, 0.2913)
O (0.1856, 0.8144, 0.7087)
O (0.2800, 0.2800, 0.5000)
O (0.3201, 0.3201, 0.0000)
O (0.6799, 0.6799, 0.0000)
O (0.7200, 0.7200, 0.5000)
O (0.8144, 0.1856, 0.2913)
O (0.8144, 0.1856, 0.7087)

=====

Record 5
Calculated X-ray powder pattern of SmYTe2O8 for Cu Ka, from a structure optimized by DFT (PBE).
No peak broadening, texture or thermal motion is included.

Largest 12 diffraction maxima, low angle first, 2θ from 10° to 90°:
d [Å]	intensity
3.724	100
2.886	77
2.634	24
1.945	66
1.862	16
1.666	15
1.565	35
1.443	10
1.345	14
1.265	8
1.198	24
1.178	6

Crystal structure
abc: 6.2961 6.2961 6.2961
angles: 107.47 107.47 113.56
Atoms (fractional coordinates):
Sm (0.0000, 0.0000, 0.0000)
Y (0.7500, 0.2500, 0.5000)
Te (0.2500, 0.7500, 0.5000)
Te (0.5000, 0.5000, 0.0000)
O (0.0511, 0.3689, 0.3178)
O (0.0511, 0.7333, 0.6822)
O (0.1119, 0.2995, 0.8124)
O (0.2667, 0.9489, 0.3178)
O (0.4872, 0.2995, 0.1876)
O (0.6311, 0.9489, 0.6822)
O (0.7005, 0.5128, 0.8124)
O (0.7005, 0.8881, 0.1876)

=====

Record 6
Calculated X-ray powder pattern of SmTh3O8 for Cu Ka, from a structure optimized by DFT (PBE).
No peak broadening, texture or thermal motion is included.

Largest 12 diffraction maxima, low angle first, 2θ from 10° to 90°:
d [Å]	intensity
5.606	2
3.964	2
3.237	100
2.803	36
2.507	1
1.982	51
1.690	48
1.618	10
1.402	8
1.286	19
1.254	14
1.144	17

Crystal structure
abc: 5.6065 5.6065 5.6065
angles: 90.00 90.00 90.00
Atoms (fractional coordinates):
Sm (0.0000, 0.0000, 0.0000)
Th (0.0000, 0.5000, 0.5000)
Th (0.5000, 0.0000, 0.5000)
Th (0.5000, 0.5000, 0.0000)
O (0.2519, 0.2519, 0.2519)
O (0.2519, 0.2519, 0.7481)
O (0.2519, 0.7481, 0.2519)
O (0.2519, 0.7481, 0.7481)
O (0.7481, 0.2519, 0.2519)
O (0.7481, 0.2519, 0.7481)
O (0.7481, 0.7481, 0.2519)
O (0.7481, 0.7481, 0.7481)

=====

Record 7
Calculated X-ray powder pattern of Sm2Th8O19 for Cu Ka, from a structure optimized by DFT (PBE).
No peak broadening, texture or thermal motion is included.

Largest 12 diffraction maxima, low angle first, 2θ from 10° to 90°:
d [Å]	intensity
3.453	1
3.238	100
2.805	37
1.983	50
1.691	47
1.619	11
1.403	5
1.401	2
1.287	19
1.255	5
1.254	9
1.145	16

Crystal structure
abc: 3.9683 3.9683 28.0149
angles: 90.00 90.00 90.00
Atoms (fractional coordinates):
Sm (0.0000, 0.5000, 0.0552)
Sm (0.5000, 0.0000, 0.9448)
Th (0.0000, 0.5000, 0.2492)
Th (0.0000, 0.5000, 0.4498)
Th (0.0000, 0.5000, 0.6505)
Th (0.0000, 0.5000, 0.8513)
Th (0.5000, 0.0000, 0.1487)
Th (0.5000, 0.0000, 0.3495)
Th (0.5000, 0.0000, 0.5502)
Th (0.5000, 0.0000, 0.7508)
O (0.0000, 0.0000, 0.0000)
O (0.0000, 0.0000, 0.1033)
O (0.0000, 0.0000, 0.2012)
O (0.0000, 0.0000, 0.3003)
O (0.0000, 0.0000, 0.4001)
O (0.0000, 0.0000, 0.5000)
O (0.0000, 0.0000, 0.5999)
O (0.0000, 0.0000, 0.6997)
O (0.0000, 0.0000, 0.7988)
O (0.0000, 0.0000, 0.8967)
O (0.5000, 0.5000, 0.0926)
O (0.5000, 0.5000, 0.1963)
O (0.5000, 0.5000, 0.2981)
O (0.5000, 0.5000, 0.3992)
O (0.5000, 0.5000, 0.5000)
O (0.5000, 0.5000, 0.6008)
O (0.5000, 0.5000, 0.7019)
O (0.5000, 0.5000, 0.8037)
O (0.5000, 0.5000, 0.9074)

=====

Record 8
Calculated X-ray powder pattern of Sm2TiO5 for Cu Ka, from a structure optimized by DFT (PBE).
No peak broadening, texture or thermal motion is included.

Largest 12 diffraction maxima, low angle first, 2θ from 10° to 90°:
d [Å]	intensity
7.817	24
3.602	27
3.109	74
3.097	100
2.696	36
2.669	14
2.614	13
2.148	16
1.898	57
1.883	15
1.687	18
1.622	21

Crystal structure
abc: 10.6774 3.8013 11.4760
angles: 90.00 90.00 90.00
Atoms (fractional coordinates):
Sm (0.1096, 0.2500, 0.2219)
Sm (0.1368, 0.2500, 0.5555)
Sm (0.3632, 0.7500, 0.0555)
Sm (0.3904, 0.7500, 0.7219)
Sm (0.6096, 0.2500, 0.2781)
Sm (0.6368, 0.2500, 0.9445)
Sm (0.8632, 0.7500, 0.4445)
Sm (0.8904, 0.7500, 0.7781)
Ti (0.1792, 0.2500, 0.8777)
Ti (0.3208, 0.7500, 0.3777)
Ti (0.6792, 0.2500, 0.6223)
Ti (0.8208, 0.7500, 0.1223)
O (0.0078, 0.7500, 0.6043)
O (0.0161, 0.2500, 0.8432)
O (0.2231, 0.2500, 0.0384)
O (0.2365, 0.7500, 0.8803)
O (0.2373, 0.7500, 0.2293)
O (0.2627, 0.2500, 0.7293)
O (0.2635, 0.2500, 0.3803)
O (0.2769, 0.7500, 0.5384)
O (0.4839, 0.7500, 0.3432)
O (0.4922, 0.2500, 0.1043)
O (0.5078, 0.7500, 0.8957)
O (0.5161, 0.2500, 0.6568)
O (0.7231, 0.2500, 0.4616)
O (0.7365, 0.7500, 0.6197)
O (0.7373, 0.7500, 0.2707)
O (0.7627, 0.2500, 0.7707)
O (0.7635, 0.2500, 0.1197)
O (0.7769, 0.7500, 0.9616)
O (0.9839, 0.7500, 0.1568)
O (0.9922, 0.2500, 0.3957)